# 1
For CuICl, the PBE geometry in OQMD gives the calculated powder diffraction line list in this record (Cu Kα).

Peak list (8 most intense, 10° ≤ 2θ ≤ 80°, in order of rising 2θ)
2θ 14.30, 6.194 Å, intensity 29
2θ 14.44, 6.135 Å, intensity 33
2θ 23.64, 3.764 Å, intensity 100
2θ 30.99, 2.886 Å, intensity 21
2θ 33.61, 2.666 Å, intensity 33
2θ 39.93, 2.258 Å, intensity 18
2θ 40.23, 2.242 Å, intensity 18
2θ 43.02, 2.103 Å, intensity 20

Structure:
Lattice parameters (Å, degrees): 4.4883 6.7006 6.8593 67.79 73.19 76.08
Positions (direct):
Cu: 0.2342 0.2656 0.0036
Cu: 0.7658 0.7344 0.9964
I: 0.4503 0.0384 0.7428
I: 0.5497 0.9616 0.2572
Cl: 0.0625 0.4791 0.2241
Cl: 0.9375 0.5209 0.7759

# 2
For Tl2InCuCl6, the PBE geometry in OQMD gives the calculated powder diffraction line list in this record (Cu Kα).

Peak list (8 most intense, 10° ≤ 2θ ≤ 80°, in order of rising 2θ)
2θ 24.97, 3.567 Å, intensity 100
2θ 25.13, 3.543 Å, intensity 49
2θ 30.77, 2.906 Å, intensity 36
2θ 35.36, 2.539 Å, intensity 25
2θ 35.84, 2.506 Å, intensity 42
2θ 43.84, 2.065 Å, intensity 19
2θ 44.15, 2.051 Å, intensity 32
2θ 51.28, 1.782 Å, intensity 14

Structure:
Lattice parameters (Å, degrees): 7.0775 7.0970 12.3619 90.00 124.77 90.00
Positions (direct):
Tl: 0.2431 0.0336 0.2498
Tl: 0.2431 0.4664 0.7498
Tl: 0.7569 0.5336 0.2502
Tl: 0.7569 0.9664 0.7502
In: 0.5000 0.0000 0.0000
In: 0.5000 0.5000 0.5000
Cu: 0.0000 0.0000 0.5000
Cu: 0.0000 0.5000 0.0000
Cl: 0.1908 0.2224 0.9765
Cl: 0.1908 0.2776 0.4765
Cl: 0.2546 0.7136 0.9776
Cl: 0.2546 0.7864 0.4776
Cl: 0.2939 0.5012 0.2486
Cl: 0.2939 0.9988 0.7486
Cl: 0.7061 0.0012 0.2514
Cl: 0.7061 0.4988 0.7514
Cl: 0.7454 0.2136 0.5224
Cl: 0.7454 0.2864 0.0224
Cl: 0.8092 0.7224 0.5235
Cl: 0.8092 0.7776 0.0235

# 3
For KCuCl3, the PBE geometry in OQMD gives the calculated powder diffraction line list in this record (Cu Kα).

Peak list (8 most intense, 10° ≤ 2θ ≤ 80°, in order of rising 2θ)
2θ 14.77, 5.999 Å, intensity 42
2θ 16.54, 5.360 Å, intensity 61
2θ 16.75, 5.294 Å, intensity 41
2θ 25.99, 3.429 Å, intensity 41
2θ 26.91, 3.314 Å, intensity 41
2θ 33.44, 2.680 Å, intensity 100
2θ 37.56, 2.394 Å, intensity 51
2θ 37.95, 2.371 Å, intensity 29

Structure:
Lattice parameters (Å, degrees): 6.8582 6.8582 11.9239 90.00 90.00 118.98
Positions (direct):
K: 0.1828 0.8172 0.7500
K: 0.4887 0.4887 0.5000
K: 0.5113 0.5113 0.0000
K: 0.8172 0.1828 0.2500
Cu: 0.1391 0.8287 0.3816
Cu: 0.1713 0.8609 0.1184
Cu: 0.8287 0.1391 0.6184
Cu: 0.8609 0.1713 0.8816
Cl: 0.0044 0.0044 0.0000
Cl: 0.0159 0.5490 0.0140
Cl: 0.1844 0.3226 0.7840
Cl: 0.3045 0.6955 0.2500
Cl: 0.3226 0.1844 0.2160
Cl: 0.4510 0.9841 0.4860
Cl: 0.5490 0.0159 0.9860
Cl: 0.6774 0.8156 0.7160
Cl: 0.6955 0.3045 0.7500
Cl: 0.8156 0.6774 0.2840
Cl: 0.9841 0.4510 0.5140
Cl: 0.9956 0.9956 0.5000

# 4
For K2CuOsCl6, the PBE geometry in OQMD gives the calculated powder diffraction line list in this record (Cu Kα).

Peak list (8 most intense, 10° ≤ 2θ ≤ 80°, in order of rising 2θ)
2θ 15.76, 5.625 Å, intensity 45
2θ 18.21, 4.871 Å, intensity 100
2θ 25.87, 3.444 Å, intensity 99
2θ 30.43, 2.937 Å, intensity 24
2θ 36.91, 2.436 Å, intensity 84
2θ 41.45, 2.178 Å, intensity 49
2θ 45.62, 1.989 Å, intensity 43
2θ 53.18, 1.722 Å, intensity 54

Structure:
Lattice parameters (Å, degrees): 6.8890 6.8890 6.8890 60.00 60.00 60.00
Positions (direct):
K: 0.2500 0.2500 0.2500
K: 0.7500 0.7500 0.7500
Cu: 0.0000 0.0000 0.0000
Os: 0.5000 0.5000 0.5000
Cl: 0.2549 0.2549 0.7451
Cl: 0.2549 0.7451 0.2549
Cl: 0.2549 0.7451 0.7451
Cl: 0.7451 0.2549 0.2549
Cl: 0.7451 0.2549 0.7451
Cl: 0.7451 0.7451 0.2549